Diffraction record for Li4Ti3Co3O12. The powder diffractogram is simulated, not measured: it uses a crystal structure in Alexandria, relaxed with PBE+U and Cu Kα.
Lines closer than 0.1° are merged.

Crystal structure
```
Li4Ti3Co3O12
1.0
6.5418 0.0000 0.0000
2.6799 7.9400 0.0000
0.3926 0.2700 8.6299
Li Ti Co O
8 6 6 24
direct
0.0000 0.0000 0.0000
0.9999 0.5000 0.4999
0.0073 0.2464 0.7578
0.3394 0.6930 0.9859
0.3527 0.2001 0.4583
0.6457 0.8002 0.5423
0.6601 0.3073 0.0142
0.9923 0.7535 0.2424
0.0079 0.7427 0.7574
0.3386 0.9280 0.2521
0.3584 0.4211 0.7721
0.6406 0.5790 0.2285
0.6604 0.0722 0.7485
0.9904 0.2572 0.2431
0.3317 0.6615 0.4970
0.3362 0.1635 0.0030
0.6627 0.8368 0.9976
0.6669 0.3388 0.5036
0.9992 0.0001 0.5002
0.9995 0.5001 0.0004
0.0163 0.7456 0.5208
0.0178 0.2449 0.0158
0.0257 0.0064 0.2525
0.0284 0.5059 0.7561
0.3163 0.6589 0.7580
0.3171 0.1604 0.2367
0.3356 0.3975 0.9886
0.3359 0.6825 0.2456
0.3406 0.1827 0.7782
0.3433 0.8884 0.4747
0.3517 0.9283 0.0182
0.3554 0.4271 0.5278
0.6431 0.5731 0.4728
0.6471 0.0720 0.9823
0.6552 0.1120 0.5259
0.6582 0.8176 0.2224
0.6629 0.3177 0.7550
0.6634 0.6027 0.0120
0.6815 0.8399 0.7639
0.6822 0.3414 0.2424
0.9702 0.4942 0.2447
0.9730 0.9939 0.7480
0.9810 0.7553 0.9848
0.9823 0.2545 0.4798
```

Principal peaks in the range 2θ = 10–90°, most intense first:
d [Å], 2θ/deg, I/Imax
4.984, 17.80, 100
2.157, 41.87, 22
2.093, 43.23, 20
2.065, 43.84, 19
2.492, 36.04, 15
2.530, 35.49, 11
2.507, 35.81, 11
1.469, 63.29, 10
1.471, 63.19, 6
1.537, 60.23, 5
1.468, 63.37, 5
1.681, 54.60, 5